Diffraction record for YNb2Br. The powder XRD pattern is theoretical, not measured: it uses the PBE geometry in Alexandria and Cu Kα, 1.54184 Å.
Intensities are scaled so that the largest is 100.

Atomic structure:
```
data_YNb2Br
_symmetry_space_group_name_H-M 'I -4 2 d'
_symmetry_Int_Tables_number 122
_symmetry_space_group_name_Hall 'I -4 2bw'
_cell_length_a 3.9572
_cell_length_b 3.9572
_cell_length_c 22.8841
_cell_angle_alpha 90.00
_cell_angle_beta 90.00
_cell_angle_gamma 90.00
loop_
_atom_site_label
_atom_site_type_symbol
_atom_site_fract_x
_atom_site_fract_y
_atom_site_fract_z
Y1 Y 0.0000 0.0000 0.0000
Nb1 Nb 0.2487 0.7500 0.6250
Br1 Br 0.0000 0.0000 0.5000
```

Main lines, in order of rising 2θ (2θ = 10–90°):
2θ = 31.3°, rel. 58
2θ = 33.0°, rel. 100
2θ = 40.0°, rel. 58
2θ = 48.7°, rel. 65
2θ = 51.6°, rel. 27
2θ = 66.2°, rel. 13
2θ = 66.9°, rel. 12
2θ = 68.3°, rel. 23
2θ = 75.7°, rel. 17
2θ = 76.6°, rel. 16
2θ = 80.8°, rel. 14
2θ = 89.2°, rel. 11

Diffraction record for Nd2ErBi3. The powder XRD pattern is theoretical, not measured: it uses the PBE geometry in Alexandria and Cu Kα, 1.54184 Å.
Intensities are scaled so that the largest is 100.

Atomic structure:
```
data_Nd2ErBi3
_symmetry_space_group_name_H-M 'I m m m'
_symmetry_Int_Tables_number 71
_symmetry_space_group_name_Hall '-I 2 2'
_cell_length_a 4.5576
_cell_length_b 6.4496
_cell_length_c 13.6603
_cell_angle_alpha 90.00
_cell_angle_beta 90.00
_cell_angle_gamma 90.00
loop_
_atom_site_label
_atom_site_type_symbol
_atom_site_fract_x
_atom_site_fract_y
_atom_site_fract_z
Nd1 Nd 0.0000 0.0000 0.1684
Er1 Er 0.0000 0.0000 0.5000
Bi1 Bi 0.0000 0.5000 0.1607
Bi2 Bi 0.0000 0.5000 0.5000
```

Main lines, in order of rising 2θ (2θ = 10–90°):
2θ = 23.9°, rel. 4
2θ = 27.7°, rel. 100
2θ = 39.6°, rel. 78
2θ = 46.7°, rel. 2
2θ = 49.0°, rel. 28
2θ = 57.2°, rel. 13
2θ = 62.9°, rel. 1
2θ = 64.7°, rel. 37
2θ = 71.7°, rel. 28
2θ = 76.8°, rel. 1
2θ = 85.1°, rel. 8
2θ = 85.3°, rel. 1